# Cs2HfF6
Calculated powder XRD pattern, Cu Kα, 1.54184 Å. Input: a cell relaxed with GGA-PBE.

```
data_Cs2HfF6
_chemical_formula_sum 'Cs2 Hf1 F6'
_symmetry_space_group_name_H-M 'P -3 m 1'
_symmetry_Int_Tables_number 164
_symmetry_space_group_name_Hall '-P 3 2"'
_cell_length_a 6.4661
_cell_length_b 6.4661
_cell_length_c 5.1283
_cell_angle_alpha 90.00
_cell_angle_beta 90.00
_cell_angle_gamma 120.00
loop_
_atom_site_label
_atom_site_type_symbol
_atom_site_fract_x
_atom_site_fract_y
_atom_site_fract_z
_atom_site_occupancy
Cs1 Cs 0.3333 0.6667 0.1911 1
Hf1 Hf 0.0000 0.0000 0.5000 1
F1 F 0.1497 0.2995 0.7179 1
```

Top 12 peaks for 2θ from 15° to 90°, low angle first:
| Position (°2θ) | I_rel | (hkl) |
| --- | --- | --- |
| 23.52 | 100 | 1 0 1 |
| 27.59 | 62 | 1 1 0 |
| 36.56 | 51 | 0 2 1 |
| 38.62 | 27 | 0 1 2 |
| 46.41 | 29 | 2 1 1 |
| 48.12 | 20 | 2 0 2 |
| 48.79 | 13 | 3 0 0 |
| 56.36 | 23 | 1 2 2 |
| 56.97 | 14 | 2 2 0 |
| 61.35 | 15 | 1 1 3 |
| 62.48 | 14 | 1 3 1 |
| 70.94 | 10 | 3 1 2 |

=====

# Cs2HfI2F4
Calculated powder XRD pattern, Cu Kα, 1.54184 Å. Input: a cell relaxed with GGA-PBE.

```
data_Cs2HfI2F4
_chemical_formula_sum 'Cs4 Hf2 I4 F8'
_symmetry_space_group_name_H-M 'I 4/m m m'
_symmetry_Int_Tables_number 139
_symmetry_space_group_name_Hall '-I 4 2'
_cell_length_a 7.719
_cell_length_b 7.719
_cell_length_c 9.782
_cell_angle_alpha 90.00
_cell_angle_beta 90.00
_cell_angle_gamma 90.00
loop_
_atom_site_label
_atom_site_type_symbol
_atom_site_fract_x
_atom_site_fract_y
_atom_site_fract_z
_atom_site_occupancy
Cs1 Cs 0.000 0.500 0.250 1
Hf1 Hf 0.000 0.000 0.000 1
I1 I 0.000 0.000 0.298 1
F1 F 0.182 0.182 0.000 1
```

Top 12 peaks for 2θ from 15° to 90°, low angle first:
| Position (°2θ) | I_rel | (hkl) |
| --- | --- | --- |
| 16.24 | 19 | 1 1 0 |
| 23.04 | 100 | 2 0 0 |
| 24.44 | 26 | 1 1 2 |
| 29.48 | 32 | 2 0 2 |
| 29.74 | 44 | 1 0 3 |
| 32.82 | 53 | 2 2 0 |
| 37.96 | 34 | 2 1 3 |
| 43.83 | 20 | 2 0 4 |
| 47.09 | 17 | 4 0 0 |
| 50.09 | 20 | 2 2 4 |
| 51.03 | 20 | 3 2 3 |
| 53.06 | 25 | 4 2 0 |

=====

# Cs2HfOF6
Calculated powder XRD pattern, Cu Kα, 1.54184 Å. Input: a cell relaxed with GGA-PBE.

```
data_Cs2HfOF6
_chemical_formula_sum 'Cs4 Hf2 O2 F12'
_symmetry_space_group_name_H-M 'I 4/m m m'
_symmetry_Int_Tables_number 139
_symmetry_space_group_name_Hall '-I 4 2'
_cell_length_a 6.549
_cell_length_b 6.549
_cell_length_c 10.106
_cell_angle_alpha 90.00
_cell_angle_beta 90.00
_cell_angle_gamma 90.00
loop_
_atom_site_label
_atom_site_type_symbol
_atom_site_fract_x
_atom_site_fract_y
_atom_site_fract_z
_atom_site_occupancy
Cs1 Cs 0.000 0.500 0.250 1
Hf1 Hf 0.000 0.000 0.000 1
O1 O 0.000 0.000 0.500 1
F1 F 0.000 0.000 0.199 1
F2 F 0.217 0.217 0.000 1
```

Top 12 peaks for 2θ from 15° to 90°, low angle first:
| Position (°2θ) | I_rel | (hkl) |
| --- | --- | --- |
| 16.13 | 61 | 1 0 1 |
| 26.10 | 100 | 1 1 2 |
| 27.24 | 44 | 2 0 0 |
| 31.81 | 16 | 2 1 1 |
| 35.53 | 18 | 0 0 4 |
| 38.90 | 30 | 2 2 0 |
| 45.34 | 19 | 2 0 4 |
| 47.45 | 37 | 3 1 2 |
| 53.70 | 20 | 2 2 4 |
| 58.29 | 13 | 1 1 6 |
| 72.31 | 13 | 3 1 6 |
| 76.54 | 10 | 5 1 2 |

=====

# Cs2HfPF6
Calculated powder XRD pattern, Cu Kα, 1.54184 Å. Input: a cell relaxed with GGA-PBE.

```
data_Cs2HfPF6
_chemical_formula_sum 'Cs4 Hf2 P2 F12'
_symmetry_space_group_name_H-M 'I 4/m m m'
_symmetry_Int_Tables_number 139
_symmetry_space_group_name_Hall '-I 4 2'
_cell_length_a 7.045
_cell_length_b 7.045
_cell_length_c 10.036
_cell_angle_alpha 90.00
_cell_angle_beta 90.00
_cell_angle_gamma 90.00
loop_
_atom_site_label
_atom_site_type_symbol
_atom_site_fract_x
_atom_site_fract_y
_atom_site_fract_z
_atom_site_occupancy
Cs1 Cs 0.000 0.500 0.250 1
Hf1 Hf 0.000 0.000 0.000 1
P1 P 0.000 0.000 0.500 1
F1 F 0.000 0.000 0.200 1
F2 F 0.201 0.201 0.000 1
```

Top 12 peaks for 2θ from 15° to 90°, low angle first:
| Position (°2θ) | I_rel | (hkl) |
| --- | --- | --- |
| 15.37 | 35 | 1 0 1 |
| 25.22 | 100 | 1 1 2 |
| 29.72 | 8 | 2 1 1 |
| 35.79 | 11 | 0 0 4 |
| 36.06 | 21 | 2 2 0 |
| 44.32 | 13 | 2 0 4 |
| 44.49 | 26 | 3 1 2 |
| 51.71 | 13 | 2 2 4 |
| 58.57 | 15 | 4 2 0 |
| 70.38 | 8 | 3 1 6 |
| 70.59 | 8 | 4 2 4 |
| 70.72 | 8 | 5 1 2 |

=====

# CsRb2HfF6
Calculated powder XRD pattern, Cu Kα, 1.54184 Å. Input: a cell relaxed with GGA-PBE.

```
data_CsRb2HfF6
_chemical_formula_sum 'Cs2 Rb4 Hf2 F12'
_symmetry_space_group_name_H-M 'P m m n'
_symmetry_Int_Tables_number 59
_cell_length_a 6.495
_cell_length_b 9.515
_cell_length_c 8.478
_cell_angle_alpha 90.00
_cell_angle_beta 90.00
_cell_angle_gamma 90.00
loop_
_symmetry_equiv_pos_as_xyz
'x,y,z'
'-x,-y,-z'
'-x+1/2,-y+1/2,z'
'x+1/2,y+1/2,-z'
'x+1/2,-y,-z'
'-x+1/2,y,z'
'-x,y+1/2,-z'
'x,-y+1/2,z'
loop_
_atom_site_label
_atom_site_type_symbol
_atom_site_fract_x
_atom_site_fract_y
_atom_site_fract_z
_atom_site_occupancy
Cs1 Cs 0.250 0.250 0.139 1
Rb1 Rb 0.250 0.024 0.666 1
Hf1 Hf 0.250 0.750 0.319 1
F1 F 0.001 0.750 0.179 1
F2 F 0.040 0.750 0.497 1
F3 F 0.250 0.538 0.331 1
```

Top 12 peaks for 2θ from 15° to 90°, low angle first:
| Position (°2θ) | I_rel | (hkl) |
| --- | --- | --- |
| 17.20 | 20 | 1 0 1 |
| 19.58 | 35 | 1 1 1 |
| 20.96 | 15 | 0 0 2 |
| 22.97 | 32 | 0 1 2 |
| 25.48 | 100 | 1 2 1 |
| 27.47 | 30 | 2 0 0 |
| 33.15 | 16 | 1 3 1 |
| 35.92 | 19 | 1 1 3 |
| 36.10 | 30 | 2 1 2 |
| 37.82 | 19 | 0 4 0 |
| 45.19 | 16 | 1 3 3 |
| 47.37 | 30 | 2 4 0 |

=====

# Cs2HfSF
Calculated powder XRD pattern, Cu Kα, 1.54184 Å. Input: a cell relaxed with GGA-PBE.

```
data_Cs2HfSF
_chemical_formula_sum 'Cs2 Hf1 S1 F1'
_symmetry_space_group_name_H-M 'P 4/m m m'
_symmetry_Int_Tables_number 123
_symmetry_space_group_name_Hall '-P 4 2'
_cell_length_a 5.108
_cell_length_b 5.108
_cell_length_c 7.085
_cell_angle_alpha 90.00
_cell_angle_beta 90.00
_cell_angle_gamma 90.00
loop_
_atom_site_label
_atom_site_type_symbol
_atom_site_fract_x
_atom_site_fract_y
_atom_site_fract_z
_atom_site_occupancy
Cs1 Cs 0.000 0.500 0.000 1
Hf1 Hf 0.000 0.000 0.500 1
S1 S 0.500 0.500 0.500 1
F1 F 0.500 0.500 0.000 1
```

Top 12 peaks for 2θ from 15° to 90°, low angle first:
| Position (°2θ) | I_rel | (hkl) |
| --- | --- | --- |
| 17.36 | 10 | 1 0 0 |
| 21.44 | 24 | 1 0 1 |
| 25.14 | 38 | 0 0 2 |
| 27.72 | 100 | 1 1 1 |
| 35.13 | 32 | 2 0 0 |
| 43.69 | 34 | 2 0 2 |
| 45.91 | 25 | 1 1 3 |
| 50.53 | 11 | 2 2 0 |
| 57.25 | 15 | 2 2 2 |
| 58.61 | 24 | 3 1 1 |
| 63.96 | 11 | 2 0 4 |
| 70.64 | 14 | 3 1 3 |

=====

# Cs2HfSbF6
Calculated powder XRD pattern, Cu Kα, 1.54184 Å. Input: a cell relaxed with GGA-PBE.

```
data_Cs2HfSbF6
_chemical_formula_sum 'Cs4 Hf2 Sb2 F12'
_symmetry_space_group_name_H-M 'I 4/m m m'
_symmetry_Int_Tables_number 139
_symmetry_space_group_name_Hall '-I 4 2'
_cell_length_a 6.641
_cell_length_b 6.641
_cell_length_c 11.704
_cell_angle_alpha 90.00
_cell_angle_beta 90.00
_cell_angle_gamma 90.00
loop_
_atom_site_label
_atom_site_type_symbol
_atom_site_fract_x
_atom_site_fract_y
_atom_site_fract_z
_atom_site_occupancy
Cs1 Cs 0.000 0.500 0.250 1
Hf1 Hf 0.000 0.000 0.000 1
Sb1 Sb 0.000 0.000 0.500 1
F1 F 0.000 0.000 0.171 1
F2 F 0.214 0.214 0.000 1
```

Top 12 peaks for 2θ from 15° to 90°, low angle first:
| Position (°2θ) | I_rel | (hkl) |
| --- | --- | --- |
| 15.34 | 9 | 1 0 1 |
| 24.30 | 100 | 1 1 2 |
| 26.85 | 37 | 2 0 0 |
| 30.55 | 19 | 0 0 4 |
| 38.34 | 23 | 2 2 0 |
| 41.12 | 19 | 2 0 4 |
| 45.91 | 34 | 3 1 2 |
| 49.79 | 18 | 2 2 4 |
| 50.68 | 16 | 1 1 6 |
| 65.29 | 15 | 3 1 6 |
| 71.21 | 9 | 4 2 4 |
| 74.66 | 9 | 5 1 2 |

=====

# Cs2HfTeF6
Calculated powder XRD pattern, Cu Kα, 1.54184 Å. Input: a cell relaxed with GGA-PBE.

```
data_Cs2HfTeF6
_chemical_formula_sum 'Cs4 Hf2 Te2 F12'
_symmetry_space_group_name_H-M 'I 4/m m m'
_symmetry_Int_Tables_number 139
_symmetry_space_group_name_Hall '-I 4 2'
_cell_length_a 6.968
_cell_length_b 6.968
_cell_length_c 11.024
_cell_angle_alpha 90.00
_cell_angle_beta 90.00
_cell_angle_gamma 90.00
loop_
_atom_site_label
_atom_site_type_symbol
_atom_site_fract_x
_atom_site_fract_y
_atom_site_fract_z
_atom_site_occupancy
Cs1 Cs 0.000 0.500 0.250 1
Hf1 Hf 0.000 0.000 0.000 1
Te1 Te 0.000 0.000 0.500 1
F1 F 0.000 0.000 0.182 1
F2 F 0.204 0.204 0.000 1
```

Top 12 peaks for 2θ from 15° to 90°, low angle first:
| Position (°2θ) | I_rel | (hkl) |
| --- | --- | --- |
| 24.23 | 100 | 1 1 2 |
| 25.57 | 43 | 2 0 0 |
| 32.49 | 16 | 0 0 4 |
| 36.47 | 25 | 2 2 0 |
| 41.79 | 19 | 2 0 4 |
| 44.27 | 37 | 3 1 2 |
| 49.63 | 18 | 2 2 4 |
| 53.20 | 14 | 1 1 6 |
| 58.65 | 10 | 3 3 2 |
| 66.23 | 14 | 3 1 6 |
| 69.27 | 10 | 4 2 4 |
| 71.07 | 10 | 5 1 2 |

=====

# Cs2HgF6
Calculated powder XRD pattern, Cu Kα, 1.54184 Å. Input: a cell relaxed with GGA-PBE.

```
data_Cs2HgF6
_chemical_formula_sum 'Cs8 Hg4 F24'
_symmetry_space_group_name_H-M 'F m -3 m'
_symmetry_Int_Tables_number 225
_symmetry_space_group_name_Hall '-F 4 2 3'
_cell_length_a 9.332
_cell_length_b 9.332
_cell_length_c 9.332
_cell_angle_alpha 90.00
_cell_angle_beta 90.00
_cell_angle_gamma 90.00
loop_
_atom_site_label
_atom_site_type_symbol
_atom_site_fract_x
_atom_site_fract_y
_atom_site_fract_z
_atom_site_occupancy
Cs1 Cs 0.250 0.250 0.250 1
Hg1 Hg 0.000 0.000 0.000 1
F1 F 0.000 0.000 0.228 1
```

Top 12 peaks for 2θ from 15° to 90°, low angle first:
| Position (°2θ) | I_rel | (hkl) |
| --- | --- | --- |
| 16.45 | 56 | 1 1 1 |
| 27.03 | 100 | 2 2 0 |
| 31.80 | 28 | 3 1 1 |
| 38.59 | 36 | 4 0 0 |
| 42.21 | 11 | 3 3 1 |
| 47.75 | 42 | 4 2 2 |
| 50.84 | 13 | 5 1 1 |
| 55.72 | 23 | 4 4 0 |
| 58.52 | 12 | 5 3 1 |
| 63.00 | 20 | 6 2 0 |
| 76.37 | 23 | 6 4 2 |
| 89.01 | 12 | 6 6 0 |

=====

# Cs3Hg4F12
Calculated powder XRD pattern, Cu Kα, 1.54184 Å. Input: a cell relaxed with GGA-PBE.

```
data_Cs3Hg4F12
_chemical_formula_sum 'Cs6 Hg8 F24'
_symmetry_space_group_name_H-M 'I m -3 m'
_symmetry_Int_Tables_number 229
_symmetry_space_group_name_Hall '-I 4 2 3'
_cell_length_a 9.195
_cell_length_b 9.195
_cell_length_c 9.195
_cell_angle_alpha 90.00
_cell_angle_beta 90.00
_cell_angle_gamma 90.00
loop_
_atom_site_label
_atom_site_type_symbol
_atom_site_fract_x
_atom_site_fract_y
_atom_site_fract_z
_atom_site_occupancy
Cs1 Cs 0.000 0.000 0.500 1
Hg1 Hg 0.250 0.250 0.250 1
F1 F 0.000 0.259 0.259 1
```

Top 12 peaks for 2θ from 15° to 90°, low angle first:
| Position (°2θ) | I_rel | (hkl) |
| --- | --- | --- |
| 19.31 | 22 | 2 0 0 |
| 23.70 | 3 | 2 1 1 |
| 27.43 | 100 | 2 2 0 |
| 39.19 | 32 | 4 0 0 |
| 44.04 | 11 | 4 2 0 |
| 48.50 | 44 | 4 2 2 |
| 56.62 | 21 | 4 4 0 |
| 60.40 | 5 | 4 4 2 |
| 64.04 | 19 | 6 2 0 |
| 71.02 | 7 | 4 4 4 |
| 77.72 | 23 | 6 4 2 |
| 84.24 | 3 | 8 0 0 |

=====

# CsHg3F9
Calculated powder XRD pattern, Cu Kα, 1.54184 Å. Input: a cell relaxed with GGA-PBE.

```
data_CsHg3F9
_chemical_formula_sum 'Cs1 Hg3 F9'
_symmetry_space_group_name_H-M 'P 6/m m m'
_symmetry_Int_Tables_number 191
_symmetry_space_group_name_Hall '-P 6 2'
_cell_length_a 8.3494
_cell_length_b 8.3494
_cell_length_c 4.3845
_cell_angle_alpha 90.00
_cell_angle_beta 90.00
_cell_angle_gamma 120.00
loop_
_atom_site_label
_atom_site_type_symbol
_atom_site_fract_x
_atom_site_fract_y
_atom_site_fract_z
_atom_site_occupancy
Cs1 Cs 0.0000 0.0000 0.0000 1
Hg1 Hg 0.0000 0.5000 0.5000 1
F1 F 0.0000 0.5000 0.0000 1
F2 F 0.1953 0.3906 0.5000 1
```

Top 12 peaks for 2θ from 15° to 90°, low angle first:
| Position (°2θ) | I_rel | (hkl) |
| --- | --- | --- |
| 20.25 | 27 | 0 0 1 |
| 23.73 | 40 | 1 0 1 |
| 24.62 | 100 | 2 0 0 |
| 29.55 | 27 | 1 1 1 |
| 32.09 | 24 | 2 0 1 |
| 38.83 | 14 | 2 1 1 |
| 43.35 | 31 | 2 2 0 |
| 48.29 | 15 | 2 2 1 |
| 48.57 | 33 | 2 0 2 |
| 50.49 | 16 | 4 0 0 |
| 61.32 | 21 | 2 2 2 |
| 83.33 | 15 | 4 2 2 |

=====

# CsHgF
Calculated powder XRD pattern, Cu Kα, 1.54184 Å. Input: a cell relaxed with GGA-PBE.

```
data_CsHgF
_chemical_formula_sum 'Cs4 Hg4 F4'
_symmetry_space_group_name_H-M 'A e m 2'
_symmetry_Int_Tables_number 39
_cell_length_a 10.957
_cell_length_b 6.004
_cell_length_c 6.003
_cell_angle_alpha 90.00
_cell_angle_beta 90.00
_cell_angle_gamma 90.00
loop_
_symmetry_equiv_pos_as_xyz
'x,y,z'
'-x,-y,z'
'-x,y+1/2,z'
'x,-y+1/2,z'
'x,y+1/2,z+1/2'
'-x,-y+1/2,z+1/2'
'-x,y,z+1/2'
'x,-y,z+1/2'
loop_
_atom_site_label
_atom_site_type_symbol
_atom_site_fract_x
_atom_site_fract_y
_atom_site_fract_z
_atom_site_occupancy
Cs1 Cs 0.143 0.250 0.000 1
Hg1 Hg 0.425 0.250 0.498 1
F1 F 0.126 0.250 0.500 1
```

Top 12 peaks for 2θ from 15° to 90°, low angle first:
| Position (°2θ) | I_rel | (hkl) |
| --- | --- | --- |
| 24.37 | 11 | 3 0 0 |
| 26.56 | 100 | 2 1 1 |
| 29.76 | 64 | 0 2 0 |
| 32.34 | 20 | 3 1 1 |
| 38.83 | 13 | 3 2 0 |
| 42.59 | 24 | 0 2 2 |
| 44.79 | 13 | 4 2 0 |
| 46.64 | 20 | 5 1 1 |
| 50.91 | 35 | 2 3 1 |
| 65.00 | 15 | 5 3 1 |
| 67.48 | 14 | 7 2 0 |
| 75.46 | 12 | 7 2 2 |

=====

# Cs4Hg3F12
Calculated powder XRD pattern, Cu Kα, 1.54184 Å. Input: a cell relaxed with GGA-PBE.

```
data_Cs4Hg3F12
_chemical_formula_sum 'Cs8 Hg6 F24'
_symmetry_space_group_name_H-M 'I m -3'
_symmetry_Int_Tables_number 204
_symmetry_space_group_name_Hall '-I 2 2 3'
_cell_length_a 10.317
_cell_length_b 10.317
_cell_length_c 10.317
_cell_angle_alpha 90.00
_cell_angle_beta 90.00
_cell_angle_gamma 90.00
loop_
_atom_site_label
_atom_site_type_symbol
_atom_site_fract_x
_atom_site_fract_y
_atom_site_fract_z
_atom_site_occupancy
Cs1 Cs 0.250 0.250 0.250 1
Hg1 Hg 0.000 0.000 0.500 1
F1 F 0.000 0.356 0.147 1
```

Top 12 peaks for 2θ from 15° to 90°, low angle first:
| Position (°2θ) | I_rel | (hkl) |
| --- | --- | --- |
| 21.09 | 12 | 2 1 1 |
| 24.40 | 100 | 2 2 0 |
| 34.78 | 19 | 4 0 0 |
| 36.97 | 5 | 3 3 0 |
| 42.95 | 51 | 4 2 2 |
| 50.01 | 14 | 4 4 0 |
| 56.41 | 22 | 6 2 0 |
| 62.36 | 7 | 4 4 4 |
| 68.00 | 23 | 6 4 2 |
| 78.70 | 13 | 6 6 0 |
| 83.88 | 7 | 8 0 4 |
| 89.01 | 6 | 6 6 4 |